# 1
# Li6Sn6Hg
Computed powder XRD pattern, Cu Kα (weighted mean of Kα1 and Kα2). Input: a PBE-relaxed structure.

Atomic structure:
```
13
Lattice="2.914 -5.752 0.000 2.914 5.752 0.000 0.000 0.000 9.467" Properties=species:S:1:pos:R:3 pbc="T T T"
Li 0.000 0.000 1.808
Li 0.000 0.000 7.660
Li 2.914 1.776 0.000
Li 2.914 1.645 4.734
Li 2.914 -1.645 4.734
Li 2.914 -1.776 0.000
Sn 1.457 2.876 2.399
Sn 1.457 2.876 7.068
Sn 1.457 -2.876 2.399
Sn 1.457 -2.876 7.068
Sn 2.914 0.000 2.302
Sn 2.914 0.000 7.165
Hg 0.000 0.000 4.734
```

Principal peaks in the range 2θ from 10° to 90°, by intensity:
d [Å], I_rel
2.600, 100
3.500, 88
4.734, 68
2.876, 64
1.750, 61
3.655, 51
2.653, 50
2.279, 47

=====

# 2
# Ti3Co2Ni8
Computed powder XRD pattern, Cu Kα (weighted mean of Kα1 and Kα2). Input: a PBE-relaxed structure.

Atomic structure:
```
13
Lattice="2.308 1.333 8.966 -2.308 1.333 8.966 0.000 -2.665 8.966" Properties=species:S:1:pos:R:3 pbc="T T T"
Ti 0.000 0.000 0.000
Ti 0.000 0.000 5.054
Ti 0.000 0.000 21.845
Co 0.000 0.000 9.709
Co 0.000 0.000 17.190
Ni -1.163 -0.671 15.211
Ni 0.000 -1.342 11.688
Ni -1.163 0.671 11.688
Ni 0.000 0.000 7.457
Ni 0.000 0.000 19.442
Ni 1.163 -0.671 15.211
Ni 0.000 1.342 15.211
Ni 1.163 0.671 11.688
```

Principal peaks in the range 2θ from 10° to 90°, by intensity:
d [Å], I_rel
2.086, 100
1.977, 99
1.916, 44
4.483, 40
2.308, 38
1.285, 36
2.235, 35
2.052, 33

=====

# 3
# Ca2CoPbCl8
Computed powder XRD pattern, Cu Kα (weighted mean of Kα1 and Kα2). Input: a PBE-relaxed structure.

Atomic structure:
```
12
Lattice="6.190 0.000 0.000 0.000 8.295 0.000 -0.074 0.000 6.451" Properties=species:S:1:pos:R:3 pbc="T T T"
Ca 0.000 1.952 0.000
Ca 0.000 6.342 0.000
Co 3.058 0.000 3.226
Pb 3.058 4.147 3.226
Cl 1.277 4.147 5.470
Cl 1.436 0.000 5.223
Cl 1.741 1.772 2.166
Cl 1.741 6.523 2.166
Cl 4.375 1.772 4.285
Cl 4.375 6.523 4.285
Cl 4.680 0.000 1.228
Cl 4.839 4.147 0.981
```

Principal peaks in the range 2θ from 10° to 90°, by intensity:
d [Å], I_rel
4.441, 100
4.492, 98
3.031, 89
3.445, 66
2.308, 57
2.322, 51
6.451, 50
1.909, 50

=====

# 4
# Hg2Br2O
Computed powder XRD pattern, Cu Kα (weighted mean of Kα1 and Kα2). Input: a PBE-relaxed structure.

Atomic structure:
```
10
Lattice="1.812 -6.362 0.000 1.812 6.362 0.000 0.000 0.000 11.942" Properties=species:S:1:pos:R:3 pbc="T T T"
Hg 1.812 6.068 5.971
Hg 1.812 3.218 6.987
Hg 1.812 -3.218 1.016
Hg 1.812 -6.068 0.000
Br 1.812 4.794 2.356
Br 1.812 1.394 4.676
Br 1.812 -1.394 10.647
Br 1.812 -4.794 8.327
O 1.812 1.711 0.513
O 1.812 -1.711 6.484
```

Principal peaks in the range 2θ from 10° to 90°, by intensity:
d [Å], I_rel
5.971, 100
2.266, 55
3.345, 50
4.354, 48
2.808, 45
2.052, 39
2.703, 37
1.969, 36

=====

# 5
# BSb
Computed powder XRD pattern, Cu Kα (weighted mean of Kα1 and Kα2). Input: a PBE-relaxed structure.

Atomic structure:
```
4
Lattice="3.128 0.000 0.000 1.200 4.015 0.000 0.402 1.819 5.820" Properties=species:S:1:pos:R:3 pbc="T T T"
B 0.980 1.177 2.873
B 3.750 4.657 2.947
Sb 0.869 2.949 1.204
Sb 3.861 2.885 4.617
```

Principal peaks in the range 2θ from 10° to 90°, by intensity:
d [Å], I_rel
2.997, 100
2.836, 80
2.745, 78
3.832, 58
2.910, 56
3.756, 44
1.942, 43
2.330, 40

=====

# 6
# La12Pr7Ho
Computed powder XRD pattern, Cu Kα (weighted mean of Kα1 and Kα2). Input: a PBE-relaxed structure.

Atomic structure:
```
20
Lattice="7.108 0.000 0.000 -0.503 9.602 0.000 -3.065 -4.184 10.706" Properties=species:S:1:pos:R:3 pbc="T T T"
La -0.726 -1.243 4.100
La 0.789 7.665 1.125
La 1.578 4.358 0.024
La -0.708 -3.198 9.722
La 0.328 -0.236 7.319
La 0.686 5.965 6.332
La 2.855 -0.547 4.374
La 3.212 5.654 3.387
La 4.248 8.616 0.984
La 1.963 1.060 10.682
La 2.752 -2.247 9.581
La 4.266 6.661 6.606
Pr -0.305 4.821 3.030
Pr 0.277 1.448 2.190
Pr -0.282 3.038 8.573
Pr 1.770 2.709 5.353
Pr 3.822 2.380 2.133
Pr 3.264 3.970 8.516
Pr 3.845 0.597 7.676
Ho -1.784 2.709 5.353
```

Principal peaks in the range 2θ from 10° to 90°, by intensity:
d [Å], I_rel
2.992, 100
2.927, 99
2.834, 88
2.867, 87
2.945, 66
3.134, 56
2.804, 27
1.943, 23

=====

# 7
# Li2In3Ag7
Computed powder XRD pattern, Cu Kα (weighted mean of Kα1 and Kα2). Input: a PBE-relaxed structure.

Atomic structure:
```
12
Lattice="5.073 0.000 0.000 1.877 4.738 0.000 0.767 2.252 9.721" Properties=species:S:1:pos:R:3 pbc="T T T"
Li 0.977 1.536 1.420
Li 6.739 5.453 8.300
In 0.383 1.126 4.860
In 3.495 3.186 1.524
In 4.221 3.803 8.197
Ag 1.347 3.484 6.371
Ag 1.975 2.210 8.873
Ag 2.901 1.096 3.365
Ag 3.858 3.495 4.860
Ag 4.816 5.893 6.355
Ag 5.742 4.779 0.848
Ag 6.370 3.505 3.350
```

Principal peaks in the range 2θ from 10° to 90°, by intensity:
d [Å], I_rel
2.304, 100
2.340, 52
2.296, 52
2.825, 27
2.102, 24
2.358, 22
4.091, 18
3.803, 17

=====

# 8
# K2SrSnTe4
Computed powder XRD pattern, Cu Kα (weighted mean of Kα1 and Kα2). Input: a PBE-relaxed structure.

Atomic structure:
```
16
Lattice="-4.516 4.995 6.738 4.516 -4.995 6.738 4.516 4.995 -6.738" Properties=species:S:1:pos:R:3 pbc="T T T"
K 0.000 0.000 0.000
K -2.258 2.497 3.369
K 0.000 4.995 0.000
K 2.258 2.497 3.369
Sr 4.516 0.000 0.000
Sr 0.000 0.000 6.738
Sn 2.258 2.497 -3.369
Sn 2.258 -2.497 3.369
Te 4.516 -0.383 3.328
Te 4.516 4.612 -3.328
Te 2.333 2.497 -0.355
Te 6.699 2.497 -0.355
Te -2.183 2.497 7.093
Te 2.183 2.497 7.093
Te 0.000 0.383 10.066
Te 0.000 5.378 3.410
```

Principal peaks in the range 2θ from 10° to 90°, by intensity:
d [Å], I_rel
3.350, 100
2.375, 68
3.369, 48
8.025, 41
2.257, 23
2.497, 18
1.876, 18
2.006, 16

=====

# 9
# ScBr4Cl
Computed powder XRD pattern, Cu Kα (weighted mean of Kα1 and Kα2). Input: a PBE-relaxed structure.

Atomic structure:
```
6
Lattice="0.000 4.285 4.285 4.285 0.000 4.285 4.285 4.285 0.000" Properties=species:S:1:pos:R:3 pbc="T T T"
Sc 0.000 0.000 0.000
Br 5.357 3.212 3.212
Br 3.212 5.357 3.212
Br 3.212 3.212 5.357
Br 5.357 5.357 5.357
Cl 2.142 2.142 2.142
```

Principal peaks in the range 2θ from 10° to 90°, by intensity:
d [Å], I_rel
2.584, 100
2.474, 65
4.947, 40
1.649, 32
1.515, 31
1.292, 24
1.116, 20
2.142, 18

=====

# 10
# Tb11In9Hg4
Computed powder XRD pattern, Cu Kα (weighted mean of Kα1 and Kα2). Input: a PBE-relaxed structure.

Atomic structure:
```
24
Lattice="7.486 -11.319 0.000 7.486 11.319 0.000 0.000 0.000 3.752" Properties=species:S:1:pos:R:3 pbc="T T T"
Tb 0.000 0.000 0.000
Tb 3.513 3.974 0.000
Tb 7.486 7.663 0.000
Tb 4.298 0.000 0.000
Tb 7.486 3.145 0.000
Tb 3.513 -3.974 0.000
Tb 11.459 3.974 0.000
Tb 7.486 -3.145 0.000
Tb 10.674 0.000 0.000
Tb 7.486 -7.663 0.000
Tb 11.459 -3.974 0.000
In 2.026 1.712 1.876
In 5.882 5.430 1.876
In 2.026 -1.712 1.876
In 9.089 5.430 1.876
In 7.486 0.000 1.876
In 5.882 -5.430 1.876
In 12.945 1.712 1.876
In 9.089 -5.430 1.876
In 12.945 -1.712 1.876
Hg 5.229 2.240 1.876
Hg 5.229 -2.240 1.876
Hg 9.743 2.240 1.876
Hg 9.743 -2.240 1.876
```

Principal peaks in the range 2θ from 10° to 90°, by intensity:
d [Å], I_rel
2.659, 100
2.650, 54
1.532, 29
2.786, 15
1.876, 14
2.502, 13
2.885, 11
1.537, 7

=====

# 11
# Rb3Tl4
Computed powder XRD pattern, Cu Kα (weighted mean of Kα1 and Kα2). Input: a PBE-relaxed structure.

Atomic structure:
```
7
Lattice="-2.248 2.754 12.342 2.248 -2.754 12.342 2.248 2.754 -12.342" Properties=species:S:1:pos:R:3 pbc="T T T"
Rb 0.000 0.000 0.000
Rb 2.248 0.000 7.558
Rb 0.000 2.754 4.785
Tl 2.248 0.000 3.216
Tl 0.000 0.000 10.717
Tl 0.000 0.000 13.967
Tl 0.000 2.754 9.126
```

Principal peaks in the range 2θ from 10° to 90°, by intensity:
d [Å], I_rel
2.970, 100
3.352, 86
4.424, 75
3.324, 73
2.754, 54
1.793, 47
3.033, 44
2.121, 42

=====

# 12
# Ta3P
Computed powder XRD pattern, Cu Kα (weighted mean of Kα1 and Kα2). Input: a PBE-relaxed structure.

Atomic structure:
```
32
Lattice="10.207 0.000 0.000 0.000 10.207 0.000 0.000 0.000 5.054" Properties=species:S:1:pos:R:3 pbc="T T T"
Ta 0.463 5.640 1.250
Ta 0.537 9.745 3.777
Ta 1.063 2.513 0.024
Ta 1.589 6.729 3.757
Ta 1.625 8.619 1.230
Ta 2.513 4.041 2.503
Ta 2.590 1.063 2.503
Ta 3.479 6.692 1.230
Ta 3.515 8.583 3.757
Ta 4.041 2.590 0.024
Ta 4.567 5.567 3.777
Ta 4.641 9.671 1.250
Ta 5.567 0.537 3.804
Ta 5.640 4.641 1.277
Ta 6.167 7.617 5.030
Ta 6.692 1.625 1.298
Ta 6.729 3.515 3.825
Ta 7.617 9.145 2.552
Ta 7.694 6.167 2.552
Ta 8.583 1.589 3.825
Ta 8.619 3.479 1.298
Ta 9.145 7.694 5.030
Ta 9.671 0.463 1.277
Ta 9.745 4.567 3.804
P 0.436 2.472 2.557
P 2.472 4.668 5.024
P 2.632 0.436 5.024
P 4.668 2.632 2.557
P 5.539 7.576 2.497
P 7.576 9.772 0.030
P 7.735 5.539 0.030
P 9.772 7.735 2.497
```

Principal peaks in the range 2θ from 10° to 90°, by intensity:
d [Å], I_rel
2.470, 100
2.223, 79
2.385, 60
2.281, 53
2.406, 43
2.720, 39
2.070, 28
1.444, 25